1.
Starting from a DFT-relaxed cell (PBE, Alexandria), the X-ray diffraction stick pattern of CeHfBiO6 was simulated for a wavelength of 1.5418 Å.
Intensities are scaled so that the largest is 100.

Structure:
Cell: 5.0701 5.0701 10.4202 Å, 90.00 90.00 90.00°
Positions (direct):
Ce  0.0000  0.0000  0.0000
Ce  0.5000  0.5000  0.5000
Hf  0.0000  0.0000  0.6654
Hf  0.5000  0.5000  0.1654
Bi  0.0000  0.0000  0.3308
Bi  0.5000  0.5000  0.8308
O  0.1848  0.1848  0.8215
O  0.1881  0.1881  0.5101
O  0.2058  0.2058  0.1666
O  0.2942  0.7058  0.6666
O  0.3119  0.6881  0.0101
O  0.3152  0.6848  0.3215
O  0.6848  0.3152  0.3215
O  0.6881  0.3119  0.0101
O  0.7058  0.2942  0.6666
O  0.7942  0.7942  0.1666
O  0.8119  0.8119  0.5101
O  0.8152  0.8152  0.8215

The 6 most intense peaks (2θ from 10° to 80°), low angle first:
2θ/deg  I_rel
24.83  100
31.21  93
35.41  28
47.91  72
59.11  18
60.97  21

=====

2.
Starting from a DFT-relaxed cell (PBE, Alexandria), the X-ray diffraction stick pattern of Li3PdRh3O8 was simulated for a wavelength of 1.5418 Å.
Intensities are scaled so that the largest is 100.

Structure:
Cell: 5.9814 5.9814 5.9814 Å, 62.11 62.11 62.11°
Positions (direct):
Li  0.0000  0.5000  0.5000
Li  0.5000  0.0000  0.5000
Li  0.5000  0.5000  0.0000
Pd  0.5000  0.5000  0.5000
Rh  0.0000  0.0000  0.5000
Rh  0.0000  0.5000  0.0000
Rh  0.5000  0.0000  0.0000
O  0.2422  0.2422  0.2422
O  0.2450  0.7376  0.7376
O  0.2624  0.2624  0.7550
O  0.2624  0.7550  0.2624
O  0.7376  0.2450  0.7376
O  0.7376  0.7376  0.2450
O  0.7550  0.2624  0.2624
O  0.7578  0.7578  0.7578

The 6 most intense peaks (2θ from 10° to 80°), low angle first:
2θ/deg  I_rel
18.47  100
34.13  54
35.84  28
42.10  59
46.33  20
63.31  20

=====

3.
Starting from a DFT-relaxed cell (PBE, Alexandria), the X-ray diffraction stick pattern of LaPm6Y4 was simulated for a wavelength of 1.5418 Å.
Intensities are scaled so that the largest is 100.

Structure:
Cell: 5.7047 5.7047 26.0499 Å, 90.00 90.00 117.65°
Positions (direct):
La  0.2120  0.7880  0.7500
La  0.7880  0.2120  0.2500
Pm  0.1221  0.8779  0.1808
Pm  0.1221  0.8779  0.3192
Pm  0.1998  0.8002  0.5990
Pm  0.1998  0.8002  0.9010
Pm  0.4479  0.5521  0.2500
Pm  0.5000  0.5000  0.0000
Pm  0.5000  0.5000  0.5000
Pm  0.5521  0.4479  0.7500
Pm  0.8002  0.1998  0.0990
Pm  0.8002  0.1998  0.4010
Pm  0.8779  0.1221  0.6808
Pm  0.8779  0.1221  0.8192
Y  0.1504  0.8496  0.0434
Y  0.1504  0.8496  0.4566
Y  0.4572  0.5428  0.1237
Y  0.4572  0.5428  0.3763
Y  0.5428  0.4572  0.6237
Y  0.5428  0.4572  0.8763
Y  0.8496  0.1504  0.5434
Y  0.8496  0.1504  0.9566

The 6 most intense peaks (2θ from 10° to 80°), low angle first:
2θ/deg  I_rel
29.82  53
30.24  100
31.39  60
31.58  43
32.72  43
43.28  32

=====

4.
Starting from a DFT-relaxed cell (PBE, Alexandria), the X-ray diffraction stick pattern of LaSmHo2In4 was simulated for a wavelength of 1.5418 Å.
Intensities are scaled so that the largest is 100.

Structure:
Cell: 9.3773 9.3773 9.3773 Å, 33.46 33.46 33.46°
Positions (direct):
La  0.0000  0.0000  0.0000
Sm  0.5000  0.5000  0.5000
Ho  0.2499  0.2499  0.2499
Ho  0.7501  0.7501  0.7501
In  0.1264  0.1264  0.1264
In  0.3764  0.3764  0.3764
In  0.6236  0.6236  0.6236
In  0.8736  0.8736  0.8736

The 6 most intense peaks (2θ from 10° to 80°), low angle first:
2θ/deg  I_rel
33.15  100
47.59  18
59.11  9
59.26  28
79.21  8
79.33  8

=====

5.
Starting from a DFT-relaxed cell (PBE, Alexandria), the X-ray diffraction stick pattern of BHPt4 was simulated for a wavelength of 1.5418 Å.
Intensities are scaled so that the largest is 100.

Structure:
Cell: 7.3765 6.2996 5.6049 Å, 76.33 56.08 47.59°
Positions (direct):
B  0.1250  0.1250  0.1250
B  0.8750  0.8750  0.8750
H  0.3750  0.3750  0.3750
H  0.6250  0.6250  0.6250
Pt  0.0130  0.4816  0.7473
Pt  0.2527  0.7419  0.9870
Pt  0.2581  0.7473  0.4816
Pt  0.4816  0.0130  0.2581
Pt  0.5184  0.9870  0.7419
Pt  0.7419  0.2527  0.5184
Pt  0.7473  0.2581  0.0130
Pt  0.9870  0.5184  0.2527

The 6 most intense peaks (2θ from 10° to 80°), low angle first:
2θ/deg  I_rel
31.97  71
36.29  100
37.45  49
49.13  89
50.04  41
66.82  26

=====

6.
Starting from a DFT-relaxed cell (PBE, Alexandria), the X-ray diffraction stick pattern of Sr2Mg5Al5 was simulated for a wavelength of 1.5418 Å.
Intensities are scaled so that the largest is 100.

Structure:
Cell: 4.7240 5.8707 10.3115 Å, 90.00 90.00 90.00°
Positions (direct):
Sr  0.0000  0.0000  0.0000
Sr  0.0000  0.5000  0.5000
Mg  0.0000  0.0000  0.3257
Mg  0.0000  0.0000  0.6743
Mg  0.0000  0.5000  0.1652
Mg  0.0000  0.5000  0.8348
Mg  0.5000  0.0000  0.5000
Al  0.5000  0.2473  0.2416
Al  0.5000  0.2473  0.7584
Al  0.5000  0.5000  0.0000
Al  0.5000  0.7527  0.2416
Al  0.5000  0.7527  0.7584

The 6 most intense peaks (2θ from 10° to 80°), low angle first:
2θ/deg  I_rel
25.70  70
30.13  37
35.18  38
35.74  100
36.02  50
38.10  37

=====

7.
Starting from a DFT-relaxed cell (PBE, Alexandria), the X-ray diffraction stick pattern of Pm5Co6 was simulated for a wavelength of 1.5418 Å.
Intensities are scaled so that the largest is 100.

Structure:
Cell: 14.0372 14.0372 4.1476 Å, 90.00 90.00 163.86°
Positions (direct):
Pm  0.0000  0.0000  0.0000
Pm  0.1952  0.8048  0.5000
Pm  0.3858  0.6142  0.0000
Pm  0.6142  0.3858  0.0000
Pm  0.8048  0.1952  0.5000
Co  0.0816  0.9184  0.5000
Co  0.2705  0.7295  0.0000
Co  0.4587  0.5413  0.5000
Co  0.5413  0.4587  0.5000
Co  0.7295  0.2705  0.0000
Co  0.9184  0.0816  0.5000

The 6 most intense peaks (2θ from 10° to 80°), low angle first:
2θ/deg  I_rel
27.75  38
32.80  100
33.65  73
38.83  26
43.65  29
58.24  30

=====

8.
Starting from a DFT-relaxed cell (PBE, Alexandria), the X-ray diffraction stick pattern of PrDy2YTm was simulated for a wavelength of 1.5418 Å.
Intensities are scaled so that the largest is 100.

Structure:
Cell: 7.1236 7.1236 7.2277 Å, 90.00 90.00 107.63°
Positions (direct):
Pr  0.2280  0.7720  0.7500
Pr  0.7720  0.2280  0.2500
Dy  0.1891  0.1891  0.0000
Dy  0.1891  0.1891  0.5000
Dy  0.8109  0.8109  0.0000
Dy  0.8109  0.8109  0.5000
Y  0.4994  0.5006  0.2500
Y  0.5006  0.4994  0.7500
Tm  0.2201  0.7799  0.2500
Tm  0.7799  0.2201  0.7500

The 6 most intense peaks (2θ from 10° to 80°), low angle first:
2θ/deg  I_rel
26.25  82
29.19  91
31.11  61
32.67  100
35.78  50
45.74  63

=====

9.
Starting from a DFT-relaxed cell (PBE, Alexandria), the X-ray diffraction stick pattern of TmGe3Pd2 was simulated for a wavelength of 1.5418 Å.
Intensities are scaled so that the largest is 100.

Structure:
Cell: 8.2274 8.2274 7.4323 Å, 115.37 115.37 29.37°
Positions (direct):
Tm  0.1249  0.1249  0.1505
Tm  0.8751  0.8751  0.8495
Ge  0.0450  0.0450  0.6828
Ge  0.3178  0.3178  0.1073
Ge  0.3373  0.3373  0.5376
Ge  0.6627  0.6627  0.4624
Ge  0.6822  0.6822  0.8927
Ge  0.9550  0.9550  0.3172
Pd  0.2140  0.2140  0.6975
Pd  0.4931  0.4931  0.1778
Pd  0.5069  0.5069  0.8222
Pd  0.7860  0.7860  0.3025

The 6 most intense peaks (2θ from 10° to 80°), low angle first:
2θ/deg  I_rel
33.02  82
35.00  49
35.47  100
37.19  90
43.38  78
44.69  63

=====

10.
Starting from a DFT-relaxed cell (PBE, Alexandria), the X-ray diffraction stick pattern of Ag5Hg3 was simulated for a wavelength of 1.5418 Å.
Intensities are scaled so that the largest is 100.

Structure:
Cell: 8.3143 8.3143 5.4947 Å, 90.00 90.00 120.00°
Positions (direct):
Ag  0.0000  0.2069  0.2500
Ag  0.0000  0.7931  0.7500
Ag  0.2069  0.0000  0.2500
Ag  0.2069  0.2069  0.7500
Ag  0.3333  0.6667  0.0000
Ag  0.3333  0.6667  0.5000
Ag  0.6667  0.3333  0.0000
Ag  0.6667  0.3333  0.5000
Ag  0.7931  0.0000  0.7500
Ag  0.7931  0.7931  0.2500
Hg  0.0000  0.3986  0.7500
Hg  0.0000  0.6014  0.2500
Hg  0.3986  0.0000  0.7500
Hg  0.3986  0.3986  0.2500
Hg  0.6014  0.0000  0.2500
Hg  0.6014  0.6014  0.7500

The 6 most intense peaks (2θ from 10° to 80°), low angle first:
2θ/deg  I_rel
26.89  32
36.86  100
37.47  24
39.31  45
46.72  24
74.37  27

=====

11.
Starting from a DFT-relaxed cell (PBE, Alexandria), the X-ray diffraction stick pattern of Sr5In2As5 was simulated for a wavelength of 1.5418 Å.
Intensities are scaled so that the largest is 100.

Structure:
Cell: 8.0853 8.0853 8.0853 Å, 101.69 101.69 126.51°
Positions (direct):
Sr  0.0000  0.0000  0.0000
Sr  0.2341  0.2341  0.5974
Sr  0.2341  0.6367  0.0000
Sr  0.6367  0.2341  0.0000
Sr  0.6367  0.6367  0.4026
In  0.3654  0.8654  0.5000
In  0.8654  0.3654  0.5000
As  0.1186  0.4149  0.2962
As  0.1186  0.8224  0.7038
As  0.4149  0.1186  0.2962
As  0.5766  0.5766  0.0000
As  0.8224  0.1186  0.7038

The 6 most intense peaks (2θ from 10° to 80°), low angle first:
2θ/deg  I_rel
22.99  52
24.66  42
28.96  91
35.01  100
35.16  64
37.23  80